Entry 1:
Computed X-ray powder pattern
Compound: LiPmDy4Se8
Radiation: Cu Kα, 1.54184 Å
Structure: a structure optimized by DFT (GGA-PBE)
Kinematic intensities with the Lorentz-polarization factor, no thermal factor.

Structure:
```
data_LiPmDy4Se8
_space_group_name_H-M_alt 'R 3 m'
_space_group_IT_number 160
_space_group_name_Hall 'R 3 -2"'
_cell_length_a 8.3729
_cell_length_b 8.3729
_cell_length_c 20.7496
_cell_angle_alpha 90.00
_cell_angle_beta 90.00
_cell_angle_gamma 120.00
loop_
_atom_site_label
_atom_site_fract_x
_atom_site_fract_y
_atom_site_fract_z
Li1 0.0000 0.0000 0.0000
Pm1 0.0000 0.0000 0.6299
Dy1 0.0000 0.0000 0.2514
Dy2 0.1736 0.3472 0.4569
Se1 0.0000 0.0000 0.3842
Se2 0.0000 0.0000 0.8693
Se3 0.0109 0.5054 0.3790
Se4 0.1757 0.3514 0.2037
```

The 10 most intense peaks (5° ≤ 2θ ≤ 70°), by intensity:
2θ 30.1, I = 100
2θ 24.9, I = 75
2θ 42.9, I = 62
2θ 43.2, I = 62
2θ 39.4, I = 39
2θ 12.9, I = 35
2θ 24.7, I = 24
2θ 62.5, I = 20
2θ 53.6, I = 19
2θ 12.8, I = 17

---

Entry 2:
Computed X-ray powder pattern
Compound: Pm3Ni3Sb4
Radiation: Cu Kα, 1.54184 Å
Structure: a structure optimized by DFT (GGA-PBE)
Kinematic intensities with the Lorentz-polarization factor, no thermal factor.

Structure:
```
data_Pm3Ni3Sb4
_space_group_name_H-M_alt 'I -4 3 d'
_space_group_IT_number 220
_space_group_name_Hall 'I -4bd 2c 3'
_cell_length_a 9.625
_cell_length_b 9.625
_cell_length_c 9.625
_cell_angle_alpha 90.00
_cell_angle_beta 90.00
_cell_angle_gamma 90.00
loop_
_atom_site_label
_atom_site_fract_x
_atom_site_fract_y
_atom_site_fract_z
Pm1 0.000 0.250 0.375
Ni1 0.000 0.250 0.875
Sb1 0.074 0.074 0.074
```

The 10 most intense peaks (5° ≤ 2θ ≤ 70°), by intensity:
2θ 34.9, I = 100
2θ 29.3, I = 64
2θ 42.0, I = 36
2θ 59.2, I = 21
2θ 46.2, I = 17
2θ 48.2, I = 16
2θ 60.9, I = 15
2θ 44.1, I = 14
2θ 62.5, I = 10
2θ 67.4, I = 10

---

Entry 3:
Computed X-ray powder pattern
Compound: K3SrTe2O9
Radiation: Cu Kα, 1.54184 Å
Structure: a structure optimized by DFT (GGA-PBE)
Kinematic intensities with the Lorentz-polarization factor, no thermal factor.

Structure:
```
data_K3SrTe2O9
_space_group_name_H-M_alt 'P -3 m 1'
_space_group_IT_number 164
_space_group_name_Hall '-P 3 2"'
_cell_length_a 5.9366
_cell_length_b 5.9366
_cell_length_c 7.5558
_cell_angle_alpha 90.00
_cell_angle_beta 90.00
_cell_angle_gamma 120.00
loop_
_atom_site_label
_atom_site_fract_x
_atom_site_fract_y
_atom_site_fract_z
K1 0.0000 0.0000 0.0000
K2 0.3333 0.6667 0.6753
Sr1 0.0000 0.0000 0.5000
Te1 0.3333 0.6667 0.1591
O1 0.0000 0.5000 0.0000
O2 0.1791 0.3583 0.2939
```

The 10 most intense peaks (5° ≤ 2θ ≤ 70°), by intensity:
2θ 29.3, I = 100
2θ 20.9, I = 95
2θ 30.1, I = 89
2θ 42.5, I = 69
2θ 53.0, I = 36
2θ 62.6, I = 20
2θ 47.3, I = 19
2θ 60.9, I = 19
2θ 51.5, I = 19
2θ 48.4, I = 19

---

Entry 4:
Computed X-ray powder pattern
Compound: In3HgPb2
Radiation: Cu Kα, 1.54184 Å
Structure: a structure optimized by DFT (GGA-PBE)
Kinematic intensities with the Lorentz-polarization factor, no thermal factor.

Structure:
```
data_In3HgPb2
_space_group_name_H-M_alt 'P m m a'
_space_group_IT_number 51
_cell_length_a 5.942
_cell_length_b 6.302
_cell_length_c 9.287
_cell_angle_alpha 90.00
_cell_angle_beta 90.00
_cell_angle_gamma 90.00
loop_
_space_group_symop_operation_xyz
'x,y,z'
'-x,-y,-z'
'-x+1/2,-y,z'
'x+1/2,y,-z'
'x+1/2,-y,-z'
'-x+1/2,y,z'
'-x,y,-z'
'x,-y,z'
loop_
_atom_site_label
_atom_site_fract_x
_atom_site_fract_y
_atom_site_fract_z
In1 0.000 0.000 0.000
In2 0.250 0.252 0.275
Hg1 0.250 0.500 0.571
Pb1 0.250 0.000 0.656
Pb2 0.250 0.500 0.912
```

The 10 most intense peaks (5° ≤ 2θ ≤ 70°), by intensity:
2θ 33.6, I = 100
2θ 32.6, I = 65
2θ 30.1, I = 50
2θ 38.7, I = 32
2θ 35.7, I = 31
2θ 34.4, I = 31
2θ 28.3, I = 26
2θ 55.7, I = 24
2θ 55.0, I = 23
2θ 32.2, I = 23